Tl2Co2Cl7: simulated PXRD pattern (CuKα), based on a DFT-relaxed cell (PBE, Alexandria).
No peak broadening, texture or thermal motion is included.

Largest 10 diffraction maxima, by angle, 15° ≤ 2θ ≤ 90°:
d (Å), intensity
4.480, 52
4.310, 100
3.857, 17
3.803, 24
3.462, 17
3.185, 17
3.096, 24
2.832, 16
2.478, 24
2.426, 13

Lattice parameters (Å, degrees): 6.352 15.427 7.894 90.00 96.16 90.00
Space group P2_1/c (No. 14)
Symmetry-distinct sites (fractional):
Tl1 0.104 0.151 0.416 [4 per cell]
Co1 0.362 0.609 0.645 [4 per cell]
Cl1 0.122 0.676 0.471 [4 per cell]
Cl2 0.224 0.552 0.865 [4 per cell]
Cl3 0.384 0.199 0.759 [4 per cell]
Cl4 0.500 0.000 0.000 [2 per cell]